Entry 1:
Theoretical powder diffractogram of Sr2NpAs4Pt3 for λ = 1.5418 Å (Cu Kα), from a cell relaxed with PBE.
Intensities are scaled so that the largest is 100.

Principal peaks in the range 5 to 70 degrees two-theta, low angle first:
| Position (°2θ) | I_rel |
| --- | --- |
| 16.1 | 44 |
| 21.3 | 21 |
| 29.2 | 61 |
| 31.4 | 55 |
| 32.5 | 100 |
| 40.1 | 86 |
| 43.4 | 80 |
| 51.8 | 27 |
| 58.0 | 50 |
| 68.0 | 29 |

Atomic structure:
```
data_Sr2NpAs4Pt3
_chemical_formula_sum 'Sr2 Np1 As4 Pt3'
_cell_length_a 4.5002
_cell_length_b 4.5002
_cell_length_c 11.0229
_cell_angle_alpha 90.00
_cell_angle_beta 90.00
_cell_angle_gamma 90.00
_space_group_name_H-M_alt 'P -4 m 2'
_space_group_IT_number 115
_space_group_name_Hall 'P -4 -2'
loop_
_atom_site_label
_atom_site_type_symbol
_atom_site_fract_x
_atom_site_fract_y
_atom_site_fract_z
Sr1 Sr 0.0000 0.5000 0.2262
Np1 Np 0.0000 0.0000 0.5000
As1 As 0.0000 0.0000 0.0000
As2 As 0.0000 0.5000 0.6582
As3 As 0.5000 0.5000 0.0000
Pt1 Pt 0.0000 0.5000 0.8918
Pt2 Pt 0.5000 0.5000 0.5000
```

---

Entry 2:
Theoretical powder diffractogram of Tb4Mg5Ru2 for λ = 1.5418 Å (Cu Kα), from a cell relaxed with PBE.
Intensities are scaled so that the largest is 100.

Principal peaks in the range 5 to 70 degrees two-theta, low angle first:
| Position (°2θ) | I_rel |
| --- | --- |
| 8.9 | 47 |
| 11.3 | 100 |
| 13.9 | 32 |
| 32.7 | 27 |
| 33.5 | 48 |
| 34.1 | 34 |
| 34.2 | 19 |
| 37.2 | 40 |
| 38.1 | 35 |
| 39.5 | 23 |

Atomic structure:
```
data_Tb4Mg5Ru2
_chemical_formula_sum 'Tb4 Mg5 Ru2'
_cell_length_a 7.8753
_cell_length_b 3.5405
_cell_length_c 9.9296
_cell_angle_alpha 90.00
_cell_angle_beta 93.48
_cell_angle_gamma 90.00
_space_group_name_H-M_alt 'P 1 2/m 1'
_space_group_IT_number 10
_space_group_name_Hall '-P 2y'
loop_
_atom_site_label
_atom_site_type_symbol
_atom_site_fract_x
_atom_site_fract_y
_atom_site_fract_z
Tb1 Tb 0.1660 0.0000 0.3535
Tb2 Tb 0.2048 0.0000 0.9514
Mg1 Mg 0.1873 0.5000 0.6617
Mg2 Mg 0.4431 0.5000 0.1770
Mg3 Mg 0.5000 0.5000 0.5000
Ru1 Ru 0.0721 0.5000 0.1491
```

---

Entry 3:
Theoretical powder diffractogram of NdSmPa2As4 for λ = 1.5418 Å (Cu Kα), from a cell relaxed with PBE.
Intensities are scaled so that the largest is 100.

Principal peaks in the range 5 to 70 degrees two-theta, low angle first:
| Position (°2θ) | I_rel |
| --- | --- |
| 13.0 | 7 |
| 26.2 | 32 |
| 30.4 | 100 |
| 43.5 | 75 |
| 51.5 | 17 |
| 53.9 | 7 |
| 54.0 | 20 |
| 63.2 | 12 |
| 69.6 | 4 |
| 69.7 | 3 |

Atomic structure:
```
data_NdSmPa2As4
_chemical_formula_sum 'Nd1 Sm1 Pa2 As4'
_cell_length_a 7.2021
_cell_length_b 4.1582
_cell_length_c 7.2180
_cell_angle_alpha 90.00
_cell_angle_beta 109.43
_cell_angle_gamma 90.00
_space_group_name_H-M_alt 'P 1 2/m 1'
_space_group_IT_number 10
_space_group_name_Hall '-P 2y'
loop_
_atom_site_label
_atom_site_type_symbol
_atom_site_fract_x
_atom_site_fract_y
_atom_site_fract_z
Nd1 Nd 0.0000 0.0000 0.0000
Sm1 Sm 0.5000 0.5000 0.0000
Pa1 Pa 0.0000 0.5000 0.5000
Pa2 Pa 0.5000 0.0000 0.5000
As1 As 0.2477 0.0000 0.7386
As2 As 0.2558 0.5000 0.2627
```

---

Entry 4:
Theoretical powder diffractogram of Pr2Dy2ErTm for λ = 1.5418 Å (Cu Kα), from a cell relaxed with PBE.
Intensities are scaled so that the largest is 100.

Principal peaks in the range 5 to 70 degrees two-theta, low angle first:
| Position (°2θ) | I_rel |
| --- | --- |
| 31.3 | 91 |
| 31.6 | 100 |
| 41.0 | 11 |
| 45.1 | 33 |
| 52.1 | 8 |
| 56.1 | 35 |
| 56.3 | 19 |
| 62.2 | 19 |
| 62.3 | 10 |
| 66.0 | 8 |

Atomic structure:
```
data_Pr2Dy2ErTm
_chemical_formula_sum 'Pr4 Dy4 Er2 Tm2'
_cell_length_a 7.0230
_cell_length_b 5.6524
_cell_length_c 9.8092
_cell_angle_alpha 90.00
_cell_angle_beta 90.00
_cell_angle_gamma 90.00
_space_group_name_H-M_alt 'P m m a'
_space_group_IT_number 51
_space_group_name_Hall '-P 2a 2a'
loop_
_atom_site_label
_atom_site_type_symbol
_atom_site_fract_x
_atom_site_fract_y
_atom_site_fract_z
Pr1 Pr 0.0000 0.0000 0.0000
Pr2 Pr 0.2500 0.5000 0.1788
Dy1 Dy 0.2500 0.0000 0.3338
Dy2 Dy 0.2500 0.5000 0.8355
Er1 Er 0.2500 0.0000 0.6584
Tm1 Tm 0.0000 0.5000 0.5000
```

---

Q: What is the formula in the first record?
A: Sr2NpAs4Pt3

---

Please write out number 4 again, unchanged.
Theoretical powder diffractogram of Pr2Dy2ErTm for λ = 1.5418 Å (Cu Kα), from a cell relaxed with PBE.
Intensities are scaled so that the largest is 100.

Principal peaks in the range 5 to 70 degrees two-theta, low angle first:
| Position (°2θ) | I_rel |
| --- | --- |
| 31.3 | 91 |
| 31.6 | 100 |
| 41.0 | 11 |
| 45.1 | 33 |
| 52.1 | 8 |
| 56.1 | 35 |
| 56.3 | 19 |
| 62.2 | 19 |
| 62.3 | 10 |
| 66.0 | 8 |

Atomic structure:
```
data_Pr2Dy2ErTm
_chemical_formula_sum 'Pr4 Dy4 Er2 Tm2'
_cell_length_a 7.0230
_cell_length_b 5.6524
_cell_length_c 9.8092
_cell_angle_alpha 90.00
_cell_angle_beta 90.00
_cell_angle_gamma 90.00
_space_group_name_H-M_alt 'P m m a'
_space_group_IT_number 51
_space_group_name_Hall '-P 2a 2a'
loop_
_atom_site_label
_atom_site_type_symbol
_atom_site_fract_x
_atom_site_fract_y
_atom_site_fract_z
Pr1 Pr 0.0000 0.0000 0.0000
Pr2 Pr 0.2500 0.5000 0.1788
Dy1 Dy 0.2500 0.0000 0.3338
Dy2 Dy 0.2500 0.5000 0.8355
Er1 Er 0.2500 0.0000 0.6584
Tm1 Tm 0.0000 0.5000 0.5000
```